For MnInIO2, a cell relaxed with PBE+U gives the simulated powder X-ray diffraction pattern in this record (Cu Kα).
Peak positions follow from Bragg's law for the DFT cell and can differ from measured ones.

Main lines, in order of falling intensity (5 to 70 degrees two-theta):
2θ/deg, d (Å), I_rel, hkl
26.32, 3.386, 100, 1 1 -1
24.83, 3.586, 64, 1 1 0
30.11, 2.968, 57, 1 0 2
31.59, 2.833, 49, 2 0 -2
42.91, 2.108, 32, 0 2 0
24.35, 3.656, 31, 0 1 1
12.06, 7.342, 31, 0 0 1
38.03, 2.366, 30, 2 1 1
53.31, 1.719, 22, 1 2 2
42.72, 2.116, 22, 0 1 3

Cell: 6.9948 4.2158 7.5309 Å, 90.00 102.88 90.00°
Space group P2_1/m (No. 11)
Inequivalent atoms, fractional coordinates:
1 Mn 0.0715 0.2500 0.3773 [2 per cell]
2 In 0.1495 0.2500 0.9241 [2 per cell]
3 I 0.4510 0.2500 0.2472 [2 per cell]
4 O 0.0238 0.2500 0.6410 [2 per cell]
5 O 0.0734 0.7500 0.9090 [2 per cell]